For MgTi2, DFT lattice parameters and positions (PBE) gives the computed powder diffraction line list in this record (copper Kα).
Neutral-atom scattering factors, no anomalous dispersion.

Top 10 peaks for 2θ from 10° to 90°, in order of falling intensity:
two_theta  intensity
39.68  100.0
36.73  28.4
34.99  26.3
68.13  17.5
74.97  17.1
51.63  15.8
62.75  15.1
76.85  12.0
18.13  6.0
20.89  3.4

Structural model:
```
MgTi2
1.0
2.5647 1.4807 4.8934
-2.5647 1.4807 4.8934
0.0000 -2.9615 4.8934
Mg Ti
2 4
Direct
0.1665 0.1665 0.1665
0.8335 0.8335 0.8335
0.0000 0.6653 0.3347
0.3347 0.0000 0.6653
0.5000 0.5000 0.5000
0.6653 0.3347 0.0000
```

=====

For MgSi, DFT lattice parameters and positions (PBE) gives the computed powder diffraction line list in this record (copper Kα).
Neutral-atom scattering factors, no anomalous dispersion.

Top 10 peaks for 2θ from 10° to 90°, in order of falling intensity:
two_theta  intensity
33.80  100.0
42.90  60.7
44.66  28.2
48.56  23.0
36.57  18.3
41.41  17.3
81.09  17.0
37.71  15.5
68.09  15.4
18.05  10.2

Structural model:
```
MgSi
1.0
1.8748 -14.7431 0.0000
1.8748 14.7431 0.0000
0.0000 0.0000 4.0580
Mg Si
6 6
Direct
0.0490 0.9510 0.7500
0.2155 0.7845 0.2500
0.3826 0.6174 0.7500
0.6174 0.3826 0.2500
0.7845 0.2155 0.7500
0.9510 0.0490 0.2500
0.1398 0.8602 0.7500
0.3071 0.6929 0.2500
0.4754 0.5246 0.7500
0.5246 0.4754 0.2500
0.6929 0.3071 0.7500
0.8602 0.1398 0.2500
```

=====

For Zr2Ga3Co, DFT lattice parameters and positions (PBE) gives the computed powder diffraction line list in this record (copper Kα).
Neutral-atom scattering factors, no anomalous dispersion.

Top 10 peaks for 2θ from 10° to 90°, in order of falling intensity:
two_theta  intensity
37.83  100.0
38.75  78.5
44.33  71.8
35.69  68.8
39.20  66.5
34.95  48.5
34.58  31.2
41.47  22.8
40.83  17.8
42.32  17.7

Structural model:
```
Zr2Ga3Co
1.0
6.3864 0.0000 0.0000
3.0775 7.1317 0.0000
3.0822 2.4523 6.7024
Zr Ga Co
6 9 3
Direct
0.0000 0.0000 0.0000
0.0004 0.4992 0.4733
0.4274 0.5765 0.5452
0.4513 0.0539 0.0487
0.5572 0.2811 0.2705
0.5682 0.7875 0.7642
0.0320 0.4139 0.8834
0.0457 0.7918 0.7600
0.0532 0.2494 0.2615
0.3308 0.6945 0.1805
0.3345 0.1933 0.6777
0.6555 0.3760 0.8559
0.6729 0.8733 0.3618
0.7851 0.6466 0.1439
0.7885 0.1514 0.6236
0.0252 0.8927 0.4035
0.2419 0.5260 0.0203
0.2658 0.0303 0.5144
```

=====

For H4Pt, DFT lattice parameters and positions (PBE) gives the computed powder diffraction line list in this record (copper Kα).
Neutral-atom scattering factors, no anomalous dispersion.

Top 10 peaks for 2θ from 10° to 90°, in order of falling intensity:
two_theta  intensity
26.58  100.0
37.95  75.9
18.71  50.1
61.87  38.2
68.55  27.8
46.93  27.3
32.71  25.6
87.22  19.2
50.95  15.0
54.75  14.1

Structural model:
```
H4Pt
1.0
-3.3532 3.3532 3.3532
3.3532 -3.3532 3.3532
3.3532 3.3532 -3.3532
H Pt
12 3
Direct
0.0000 0.2505 0.2505
0.0000 0.7495 0.7495
0.2505 0.0000 0.2505
0.2505 0.2505 0.0000
0.2500 0.5000 0.7500
0.2500 0.7500 0.5000
0.5000 0.2500 0.7500
0.5000 0.7500 0.2500
0.7495 0.0000 0.7495
0.7500 0.2500 0.5000
0.7500 0.5000 0.2500
0.7495 0.7495 0.0000
0.0000 0.5000 0.5000
0.5000 0.0000 0.5000
0.5000 0.5000 0.0000
```

=====

For MgSi2, DFT lattice parameters and positions (PBE) gives the computed powder diffraction line list in this record (copper Kα).
Neutral-atom scattering factors, no anomalous dispersion.

Top 10 peaks for 2θ from 10° to 90°, in order of falling intensity:
two_theta  intensity
34.17  100.0
46.98  50.2
32.99  37.0
48.81  34.4
33.93  34.4
49.44  29.1
20.00  17.7
37.11  16.5
40.64  15.3
69.97  12.3

Structural model:
```
MgSi2
1.0
6.7848 0.0000 0.0000
0.0000 3.7317 0.0000
-0.1319 0.0000 8.8796
Mg Si
4 8
Direct
0.0000 0.0000 0.0000
0.0837 0.0000 0.4606
0.5384 0.5000 0.4466
0.6503 0.5000 0.9753
0.2441 0.5000 0.6758
0.2530 0.5000 0.2081
0.3837 0.0000 0.0702
0.4002 0.0000 0.7974
0.6864 0.0000 0.2240
0.7172 0.0000 0.6664
0.9038 0.5000 0.2596
0.9104 0.5000 0.7579
```

=====

For ReRuN5Cl7, DFT lattice parameters and positions (PBE) gives the computed powder diffraction line list in this record (copper Kα).
Neutral-atom scattering factors, no anomalous dispersion.

Top 10 peaks for 2θ from 10° to 90°, in order of falling intensity:
two_theta  intensity
15.33  100.0
20.87  26.1
19.62  25.5
16.81  19.2
19.80  18.3
16.60  18.2
35.83  17.9
22.59  16.6
13.03  9.8
31.76  9.5

Structural model:
```
ReRuN5Cl7
1.0
11.2756 0.0000 0.0000
0.0000 8.5119 0.0000
-0.3113 0.0000 15.7417
Re Ru N Cl
4 4 20 28
Direct
0.1576 0.2500 0.3662
0.3373 0.2500 0.8706
0.6627 0.7500 0.1294
0.8424 0.7500 0.6338
0.1503 0.7500 0.1390
0.3521 0.7500 0.6339
0.6479 0.2500 0.3661
0.8497 0.2500 0.8610
0.0044 0.2500 0.8960
0.1595 0.7500 0.2466
0.1706 0.5212 0.1122
0.1706 0.9788 0.1122
0.2190 0.5983 0.5929
0.2190 0.9017 0.5929
0.3239 0.7500 0.1036
0.3355 0.7500 0.7406
0.4502 0.5814 0.6079
0.4502 0.9186 0.6079
0.5498 0.0814 0.3921
0.5498 0.4186 0.3921
0.6645 0.2500 0.2594
0.6761 0.2500 0.8964
0.7810 0.0983 0.4071
0.7810 0.4017 0.4071
0.8294 0.0212 0.8878
0.8294 0.4788 0.8878
0.8405 0.2500 0.7534
0.9956 0.7500 0.1040
0.0102 0.2500 0.2622
0.0173 0.2500 0.4694
0.1523 0.5162 0.3699
0.1523 0.9838 0.3699
0.1546 0.7500 0.9703
0.1928 0.0644 0.8742
0.1928 0.4356 0.8742
0.2951 0.2500 0.2607
0.3083 0.2500 0.4649
0.3251 0.2500 0.7244
0.3546 0.2500 0.0150
0.3555 0.7500 0.4612
0.4818 0.0610 0.8623
0.4818 0.4390 0.8623
0.5182 0.5610 0.1377
0.5182 0.9390 0.1377
0.6445 0.2500 0.5388
0.6454 0.7500 0.9850
0.6749 0.7500 0.2756
0.6917 0.7500 0.5351
0.7049 0.7500 0.7393
0.8072 0.5644 0.1258
0.8072 0.9356 0.1258
0.8454 0.2500 0.0297
0.8477 0.0162 0.6301
0.8477 0.4838 0.6301
0.9827 0.7500 0.5306
0.9898 0.7500 0.7378
```

=====

For LaZnAsO, DFT lattice parameters and positions (PBE) gives the computed powder diffraction line list in this record (copper Kα).
Neutral-atom scattering factors, no anomalous dispersion.

Top 10 peaks for 2θ from 10° to 90°, in order of falling intensity:
two_theta  intensity
29.18  100.0
53.72  37.6
36.62  36.7
44.06  34.6
50.73  32.8
32.31  21.7
30.76  16.1
85.97  13.5
64.07  10.9
88.34  8.5

Structural model:
```
LaZnAsO
1.0
4.1106 0.0000 0.0000
0.0000 4.1106 0.0000
0.0000 0.0000 9.1671
La Zn As O
2 2 2 2
Direct
0.2500 0.2500 0.1329
0.7500 0.7500 0.8671
0.2500 0.7500 0.5000
0.7500 0.2500 0.5000
0.2500 0.2500 0.6711
0.7500 0.7500 0.3289
0.2500 0.7500 0.0000
0.7500 0.2500 0.0000
```